For Ho4Ga2I5, a structure optimized by DFT (GGA-PBE) gives the calculated powder diffraction line list in this record (CuKα).
Intensities are scaled so that the largest is 100.

Main lines, sorted by position (2θ from 10° to 90°):
| d/Å | 2θ/deg | I (rel.) |
| --- | --- | --- |
| 8.401 | 10.53 | 60 |
| 6.957 | 12.72 | 36 |
| 3.940 | 22.57 | 43 |
| 3.355 | 26.57 | 62 |
| 2.927 | 30.54 | 100 |
| 2.817 | 31.76 | 36 |
| 2.535 | 35.41 | 49 |
| 2.134 | 42.36 | 45 |

Crystal structure
```
Ho4Ga2I5
1.0
11.827 -2.084 0.000
11.827 2.084 0.000
-0.278 0.000 8.401
Ho Ga I
4 2 5
Direct
0.020 0.020 0.297
0.339 0.339 0.560
0.661 0.661 0.440
0.980 0.980 0.703
0.449 0.449 0.466
0.551 0.551 0.534
0.146 0.146 0.174
0.208 0.208 0.679
0.500 0.500 0.000
0.792 0.792 0.321
0.854 0.854 0.826
```

For Tm12InPt6, a structure optimized by DFT (GGA-PBE) gives the calculated powder diffraction line list in this record (CuKα).
Intensities are scaled so that the largest is 100.

Main lines, sorted by position (2θ from 10° to 90°):
| d/Å | 2θ/deg | I (rel.) |
| --- | --- | --- |
| 2.630 | 34.09 | 100 |
| 2.319 | 38.83 | 14 |
| 1.930 | 47.10 | 23 |
| 1.640 | 56.08 | 16 |
| 1.596 | 57.76 | 22 |
| 1.391 | 67.29 | 12 |
| 1.250 | 76.18 | 13 |
| 1.144 | 84.75 | 15 |

Crystal structure
```
Tm12InPt6
1.0
-4.920 4.920 4.920
4.920 -4.920 4.920
4.920 4.920 -4.920
Tm In Pt
12 1 6
Direct
0.117 0.298 0.820
0.180 0.478 0.298
0.180 0.883 0.702
0.298 0.180 0.478
0.298 0.820 0.117
0.478 0.298 0.180
0.522 0.702 0.820
0.702 0.180 0.883
0.702 0.820 0.522
0.820 0.117 0.298
0.820 0.522 0.702
0.883 0.702 0.180
0.000 0.000 0.000
0.140 0.500 0.640
0.360 0.860 0.500
0.500 0.360 0.860
0.500 0.640 0.140
0.640 0.140 0.500
0.860 0.500 0.360
```

For Sm4Y2Se9, a structure optimized by DFT (GGA-PBE) gives the calculated powder diffraction line list in this record (CuKα).
Intensities are scaled so that the largest is 100.

Main lines, sorted by position (2θ from 10° to 90°):
| d/Å | 2θ/deg | I (rel.) |
| --- | --- | --- |
| 5.331 | 16.63 | 42 |
| 3.887 | 22.88 | 54 |
| 3.198 | 27.90 | 78 |
| 2.666 | 33.62 | 40 |
| 2.443 | 36.79 | 100 |
| 2.155 | 41.92 | 35 |
| 2.115 | 42.76 | 68 |
| 1.878 | 48.46 | 35 |

Crystal structure
```
Sm4Y2Se9
1.0
7.321 0.000 0.000
3.655 6.347 0.000
0.015 -0.003 19.677
Sm Y Se
8 4 18
Direct
0.166 0.167 0.182
0.166 0.167 0.983
0.167 0.166 0.482
0.168 0.166 0.683
0.832 0.834 0.317
0.833 0.834 0.518
0.834 0.833 0.017
0.834 0.833 0.818
0.499 0.502 0.152
0.500 0.499 0.348
0.500 0.501 0.652
0.501 0.498 0.848
0.141 0.534 0.417
0.144 0.824 0.917
0.175 0.468 0.083
0.175 0.859 0.583
0.201 0.500 0.750
0.201 0.799 0.250
0.466 0.177 0.583
0.467 0.858 0.083
0.499 0.201 0.250
0.501 0.799 0.750
0.533 0.142 0.917
0.534 0.823 0.417
0.799 0.201 0.750
0.799 0.500 0.250
0.825 0.141 0.417
0.825 0.532 0.917
0.856 0.176 0.083
0.859 0.466 0.583
```

For Tl2PS4, a structure optimized by DFT (GGA-PBE) gives the calculated powder diffraction line list in this record (CuKα).
Intensities are scaled so that the largest is 100.

Main lines, sorted by position (2θ from 10° to 90°):
| d/Å | 2θ/deg | I (rel.) |
| --- | --- | --- |
| 4.690 | 18.92 | 21 |
| 4.103 | 21.66 | 51 |
| 3.782 | 23.52 | 42 |
| 3.407 | 26.16 | 100 |
| 2.840 | 31.50 | 35 |
| 2.443 | 36.79 | 35 |
| 2.130 | 42.43 | 29 |
| 2.103 | 43.02 | 22 |

Crystal structure
```
Tl2PS4
1.0
4.018 -5.715 0.000
4.018 5.715 0.000
-2.945 0.000 8.206
Tl P S
4 2 8
Direct
0.022 0.978 0.750
0.320 0.680 0.250
0.680 0.320 0.750
0.978 0.022 0.250
0.358 0.642 0.750
0.642 0.358 0.250
0.142 0.636 0.884
0.273 0.351 0.594
0.351 0.273 0.094
0.364 0.858 0.616
0.636 0.142 0.384
0.649 0.727 0.906
0.727 0.649 0.406
0.858 0.364 0.116
```